No. 1
# ScZn2Cu9
Simulated powder diffractogram, Cu Kα, 1.54184 Å. Input: DFT lattice parameters and positions (PBE).
Intensities are scaled so that the largest is 100.

```
12
Lattice="2.4584 1.4193 7.8783 -2.4584 1.4193 7.8783 0.0000 -2.8387 7.8783" Properties=species:S:1:pos:R:3 pbc="T T T"
Sc 0.0000 0.0000 0.0000
Zn 0.0000 0.0000 3.4225
Zn 0.0000 0.0000 20.2125
Cu -1.2467 -0.7198 9.9044
Cu 0.0000 0.0000 7.8883
Cu 0.0000 -1.4395 13.7305
Cu -1.2467 0.7198 13.7305
Cu 0.0000 0.0000 11.8175
Cu 1.2467 -0.7198 9.9044
Cu 0.0000 1.4395 9.9044
Cu 0.0000 0.0000 15.7466
Cu 1.2467 0.7198 13.7305
```

Top 10 peaks for 10° ≤ 2θ ≤ 90°, low angle first:
2θ/deg	d [Å]	Rel. int.
21.2	4.191	20
36.6	2.458	23
42.6	2.120	27
43.4	2.086	100
45.3	2.003	18
46.1	1.970	25
46.8	1.941	40
47.4	1.918	18
70.5	1.335	21
77.7	1.229	22

***

No. 2
# Dy3RuO7
Simulated powder diffractogram, Cu Kα, 1.54184 Å. Input: DFT lattice parameters and positions (PBE).
Intensities are scaled so that the largest is 100.

```
22
Lattice="3.7596 -5.2473 0.0000 3.7596 5.2473 0.0000 0.0000 0.0000 7.4058" Properties=species:S:1:pos:R:3 pbc="T T T"
Dy 0.2330 0.0000 0.0000
Dy 2.0143 2.4229 1.9002
Dy 2.0143 -2.4229 5.5056
Dy 5.5049 2.4229 1.8027
Dy 5.5049 -2.4229 5.6031
Dy 7.2862 0.0000 3.7029
Ru 3.7584 0.0000 0.0000
Ru 3.7608 0.0000 3.7029
O 3.7596 3.8826 5.5544
O 3.7596 3.7976 1.8515
O 2.2321 1.2883 7.2180
O 2.3805 1.3224 3.9869
O 2.2321 -1.2883 0.1878
O 3.7596 0.7478 1.8515
O 2.3805 -1.3224 3.4190
O 5.1386 1.3224 7.1219
O 3.7596 -0.7478 5.5544
O 5.2871 1.2883 3.8907
O 5.1386 -1.3224 0.2840
O 5.2871 -1.2883 3.5151
O 3.7596 -3.7976 5.5544
O 3.7596 -3.8826 1.8515
```

Top 10 peaks for 10° ≤ 2θ ≤ 90°, low angle first:
2θ/deg	d [Å]	Rel. int.
29.2	3.056	100
29.5	3.025	99
34.0	2.638	46
34.2	2.624	21
48.4	1.880	12
49.0	1.860	55
49.2	1.851	17
57.7	1.597	23
58.2	1.584	39
58.3	1.582	12

***

No. 3
# RbAlF4
Simulated powder diffractogram, Cu Kα, 1.54184 Å. Input: DFT lattice parameters and positions (PBE).
Intensities are scaled so that the largest is 100.

```
12
Lattice="1.8941 -8.2588 0.0000 1.8941 8.2588 0.0000 0.0000 0.0000 5.9229" Properties=species:S:1:pos:R:3 pbc="T T T"
Rb 1.8941 5.1448 2.9615
Rb 1.8941 -5.1448 0.0000
Al 1.8941 1.1893 2.9591
Al 1.8941 -1.1893 5.9206
F 1.8941 7.2038 5.9195
F 1.8941 2.5007 1.7447
F 1.8941 2.4940 4.1805
F 1.8941 0.0044 1.4741
F 1.8941 -0.0044 4.4356
F 1.8941 -2.4940 1.2190
F 1.8941 -2.5007 4.7062
F 1.8941 -7.2038 2.9580
```

Top 10 peaks for 10° ≤ 2θ ≤ 90°, low angle first:
2θ/deg	d [Å]	Rel. int.
26.3	3.387	100
28.5	3.133	88
36.0	2.492	18
39.0	2.310	18
42.1	2.148	28
47.7	1.906	28
48.0	1.895	33
51.3	1.781	20
54.2	1.694	19
55.6	1.653	24

***

No. 4
# Sr2RuAu
Simulated powder diffractogram, Cu Kα, 1.54184 Å. Input: DFT lattice parameters and positions (PBE).
Intensities are scaled so that the largest is 100.

```
4
Lattice="3.6155 0.0000 0.0000 0.0000 3.6360 0.0000 -0.0115 0.0000 7.9125" Properties=species:S:1:pos:R:3 pbc="T T T"
Sr 3.6111 0.0000 1.8516
Sr -0.0070 0.0000 6.0608
Ru 1.8078 1.8180 0.0000
Au 1.8020 1.8180 3.9562
```

Top 10 peaks for 10° ≤ 2θ ≤ 90°, low angle first:
2θ/deg	d [Å]	Rel. int.
11.2	7.912	9
33.5	2.675	100
33.6	2.667	33
35.0	2.564	60
45.9	1.978	13
50.2	1.818	11
50.5	1.808	11
59.0	1.566	25
61.7	1.503	23
61.9	1.498	24

***

No. 5
# Cu9Se8
Simulated powder diffractogram, Cu Kα, 1.54184 Å. Input: DFT lattice parameters and positions (PBE).
Intensities are scaled so that the largest is 100.

```
17
Lattice="3.9140 0.0000 0.0000 1.9489 3.3986 0.0000 1.9094 1.0671 25.5909" Properties=species:S:1:pos:R:3 pbc="T T T"
Cu 0.0000 0.0000 0.0000
Cu 1.8773 1.0268 20.6709
Cu 1.8447 1.0565 11.3233
Cu 3.8133 2.1349 17.5709
Cu 3.8142 2.2168 8.1834
Cu 3.8506 2.2574 3.2137
Cu 5.7859 3.3030 23.9108
Cu 5.7484 3.2794 14.4474
Cu 5.8045 3.3812 5.1160
Se 1.8812 1.0421 23.0901
Se 1.8447 1.0185 13.7007
Se 1.8975 1.1202 4.1332
Se 3.8339 2.1618 19.9541
Se 3.8035 2.1928 10.5756
Se 3.9025 2.2618 0.8289
Se 5.7707 3.2723 16.8227
Se 5.7739 3.3547 7.4620
```

Top 10 peaks for 10° ≤ 2θ ≤ 90°, low angle first:
2θ/deg	d [Å]	Rel. int.
27.9	3.200	100
29.3	3.052	7
46.3	1.961	52
46.4	1.958	53
54.9	1.674	14
54.9	1.671	13
55.1	1.668	14
74.7	1.271	8
85.8	1.132	13
85.9	1.131	7